(1)
Diffraction record for NbTlB2O6. The powder XRD pattern is theoretical, not measured: it uses a GGA-PBE-relaxed structure and CuKα.
Intensities are scaled so that the largest is 100.

Peak list (10 most intense, 10 to 80 degrees two-theta, in order of rising 2θ)
| 2θ (°) | d/Å | I (rel.) | (hkl) |
| --- | --- | --- | --- |
| 15.30 | 5.792 | 41.3 | 0 1 1 |
| 18.91 | 4.692 | 48.3 | 0 0 2 |
| 24.18 | 3.681 | 49.0 | 0 2 0 |
| 27.71 | 3.220 | 100.0 | 2 1 1 |
| 29.91 | 2.987 | 39.8 | 2 0 2 |
| 30.88 | 2.896 | 45.9 | 0 2 2 |
| 31.07 | 2.879 | 52.0 | 0 1 3 |
| 38.83 | 2.319 | 34.9 | 2 2 2 |
| 38.98 | 2.311 | 28.2 | 2 1 3 |
| 49.64 | 1.837 | 29.2 | 4 1 1 |

Cell and atoms:
Cell lengths 7.7463, 7.3618, 9.3839 Å; angles 90.00, 90.00, 90.00 degrees
Space group Pna2_1 (No. 33)
Symmetry-distinct sites (fractional):
1 Nb 0.1509 0.2384 0.0000 [4 per cell]
2 Tl 0.0010 0.2520 0.3920 [4 per cell]
3 B 0.2075 0.5780 0.2127 [4 per cell]
4 B 0.2292 0.4085 0.7097 [4 per cell]
5 O 0.0765 0.8250 0.4991 [4 per cell]
6 O 0.1293 0.4423 0.1367 [4 per cell]
7 O 0.1367 0.4079 0.8327 [4 per cell]
8 O 0.2168 0.7474 0.1443 [4 per cell]
9 O 0.2263 0.0672 0.1477 [4 per cell]
10 O 0.2314 0.0524 0.8473 [4 per cell]



(2)
Diffraction record for Nb2B2Os. The powder XRD pattern is theoretical, not measured: it uses a GGA-PBE-relaxed structure and CuKα.
Intensities are scaled so that the largest is 100.

Peak list (10 most intense, 10 to 80 degrees two-theta, in order of rising 2θ)
| 2θ (°) | d/Å | I (rel.) | (hkl) |
| --- | --- | --- | --- |
| 21.20 | 4.192 | 57.0 | 1 1 0 |
| 33.68 | 2.661 | 80.0 | 1 1 2 |
| 33.81 | 2.651 | 30.8 | 2 1 0 |
| 40.14 | 2.247 | 100.0 | 2 0 2 |
| 43.06 | 2.101 | 41.8 | 2 1 2 |
| 43.16 | 2.096 | 30.8 | 2 2 0 |
| 48.57 | 1.875 | 53.0 | 3 1 0 |
| 71.09 | 1.326 | 21.2 | 4 2 0 |
| 73.08 | 1.295 | 24.6 | 3 3 2 |
| 74.87 | 1.268 | 19.5 | 3 1 4 |

Cell and atoms:
Cell lengths 5.9280, 5.9280, 6.8883 Å; angles 90.00, 90.00, 90.00 degrees
Space group P4/mnc (No. 128)
Symmetry-distinct sites (fractional):
1 Nb 0.1642 0.3136 0.0000 [8 per cell]
2 B 0.1138 0.6138 0.2500 [8 per cell]
3 Os 0.0000 0.0000 0.2798 [4 per cell]



(3)
Diffraction record for Nb3BP. The powder XRD pattern is theoretical, not measured: it uses a GGA-PBE-relaxed structure and CuKα.
Intensities are scaled so that the largest is 100.

Peak list (10 most intense, 10 to 80 degrees two-theta, in order of rising 2θ)
| 2θ (°) | d/Å | I (rel.) | (hkl) |
| --- | --- | --- | --- |
| 29.77 | 3.002 | 24.4 | 1 1 1 |
| 34.10 | 2.630 | 26.4 | 0 4 0 |
| 35.29 | 2.543 | 98.6 | 1 1 2 |
| 36.72 | 2.447 | 100.0 | 0 2 3 |
| 36.93 | 2.434 | 60.0 | 1 3 0 |
| 38.55 | 2.336 | 72.5 | 1 3 1 |
| 43.11 | 2.098 | 50.5 | 1 1 3 |
| 54.25 | 1.691 | 26.4 | 2 0 0 |
| 61.83 | 1.500 | 30.7 | 1 5 3 |
| 67.30 | 1.391 | 32.3 | 2 2 3 |

Cell and atoms:
Cell lengths 3.3820, 10.5183, 8.2956 Å; angles 90.00, 90.00, 90.00 degrees
Space group Cmcm (No. 63)
Symmetry-distinct sites (fractional):
1 Nb 0.0000 0.0712 0.2500 [4 per cell]
2 Nb 0.0000 0.3623 0.0619 [8 per cell]
3 B 0.0000 0.0000 0.0000 [4 per cell]
4 P 0.0000 0.2537 0.7500 [4 per cell]



- Which formula does entry 2 have?
  Nb2B2Os